Structure and computed powder XRD pattern of LaHoCoI (a structure optimized by DFT (PBE); Cu Kα).

Principal peaks in the range 2θ from 15° to 90°, sorted by position:
2θ/deg, d_spacing, intensity
25.96, 3.433, 18
26.74, 3.334, 15
29.67, 3.011, 44
31.70, 2.823, 100
33.18, 2.700, 18
45.30, 2.002, 44
45.59, 1.990, 21
56.34, 1.633, 19
57.29, 1.608, 23
75.07, 1.265, 16

Crystal structure
a b c (Å): 4.004 4.004 24.298
angles (deg): 90.00 90.00 120.00
Positions (direct):
La: 0.000 0.000 0.000
La: 0.333 0.667 0.667
La: 0.667 0.333 0.333
Ho: 0.000 0.000 0.214
Ho: 0.333 0.667 0.880
Ho: 0.667 0.333 0.547
Co: 0.000 0.000 0.606
Co: 0.333 0.667 0.273
Co: 0.667 0.333 0.940
I: 0.000 0.000 0.780
I: 0.333 0.667 0.447
I: 0.667 0.333 0.113


Structure and computed powder XRD pattern of HWI (a structure optimized by DFT (PBE); Cu Kα).

Principal peaks in the range 2θ from 15° to 90°, sorted by position:
2θ/deg, d_spacing, intensity
26.69, 3.340, 100
28.15, 3.170, 47
32.17, 2.783, 24
37.68, 2.388, 21
38.75, 2.324, 33
38.89, 2.316, 39
42.36, 2.134, 24
43.28, 2.091, 20
45.87, 1.978, 64
48.58, 1.874, 20

Crystal structure
a b c (Å): 5.566 9.510 4.648
angles (deg): 90.00 90.00 90.00
Positions (direct):
H: 0.070 0.114 0.000
H: 0.430 0.114 0.500
H: 0.570 0.886 0.000
H: 0.930 0.886 0.500
W: 0.094 0.048 0.397
W: 0.406 0.048 0.897
W: 0.594 0.952 0.397
W: 0.906 0.952 0.897
I: 0.004 0.682 0.940
I: 0.496 0.682 0.440
I: 0.504 0.318 0.940
I: 0.996 0.318 0.440


Structure and computed powder XRD pattern of Pm3ErTc (a structure optimized by DFT (PBE); Cu Kα).

Principal peaks in the range 2θ from 15° to 90°, sorted by position:
2θ/deg, d_spacing, intensity
29.61, 3.017, 46
30.43, 2.937, 100
31.54, 2.837, 67
31.74, 2.819, 96
31.99, 2.798, 56
32.82, 2.729, 95
34.07, 2.632, 78
34.69, 2.586, 41
45.87, 1.978, 62
48.33, 1.883, 37

Crystal structure
a b c (Å): 6.438 6.438 13.165
angles (deg): 111.51 111.51 35.78
Positions (direct):
Pm: 0.000 0.000 0.000
Pm: 0.014 0.014 0.376
Pm: 0.324 0.324 0.762
Pm: 0.350 0.350 0.127
Pm: 0.684 0.684 0.238
Pm: 0.788 0.788 0.518
Er: 0.541 0.541 0.621
Er: 0.663 0.663 0.892
Tc: 0.353 0.353 0.382
Tc: 0.994 0.994 0.765